Diffraction record for Cs2KNi2F7. The powder diffractogram is calculated, not measured: it uses a structure optimized by DFT (PBE+U) and a wavelength of 1.5418 Å.
Peak positions follow from Bragg's law for the DFT cell and can differ from measured ones.

```
12
Lattice="-2.089 2.089 11.487 2.089 -2.089 11.487 2.089 2.089 -11.487" Properties=species:S:1:pos:R:3 pbc="T T T"
Cs 0.000 0.000 4.216
Cs 0.000 0.000 18.759
K 0.000 0.000 0.000
Ni 0.000 0.000 9.474
Ni 0.000 0.000 13.501
F 2.089 0.000 1.984
F 0.000 0.000 7.455
F 2.089 0.000 9.503
F 0.000 0.000 11.487
F 0.000 2.089 1.984
F 0.000 0.000 15.520
F 0.000 2.089 9.503
```

Peak list (12 most intense, 2θ from 15° to 90°, in order of rising 2θ)
Position (°2θ)  d/Å  Rel. int.
24.26  3.668  41
28.88  3.091  100
30.25  2.955  66
31.14  2.872  16
38.48  2.339  26
43.31  2.089  45
43.97  2.059  16
50.28  1.815  22
52.89  1.731  36
54.30  1.690  12
59.83  1.546  11
62.91  1.477  13